The following is a simulated X-ray powder pattern of La2CuS4. It was derived from a crystal structure in the Materials Project, relaxed with PBE, using λ = 1.5418 Å (Cu Kα).
Neutral-atom scattering factors, no anomalous dispersion.

Crystal structure
Cell: 7.7612 7.5725 10.8972 Å, 90.00 104.51 90.00°
Element x y z (fractional)
La1 0.0290 0.1263 0.3253
La2 0.0290 0.3737 0.8253
La3 0.4404 0.2022 0.1389
La4 0.4404 0.2978 0.6389
La5 0.5596 0.7022 0.3611
La6 0.5596 0.7978 0.8611
La7 0.9710 0.6263 0.1747
La8 0.9710 0.8737 0.6747
Cu1 0.1779 0.6149 0.4950
Cu2 0.1779 0.8851 0.9950
Cu3 0.8221 0.1149 0.0050
Cu4 0.8221 0.3851 0.5050
S1 0.0548 0.2120 0.5874
S2 0.0548 0.2880 0.0874
S3 0.2526 0.6045 0.7080
S4 0.2526 0.8955 0.2080
S5 0.2926 0.0704 0.8741
S6 0.2926 0.4296 0.3741
S7 0.3895 0.5549 0.0262
S8 0.3895 0.9451 0.5262
S9 0.6105 0.0549 0.4738
S10 0.6105 0.4451 0.9738
S11 0.7074 0.5704 0.6259
S12 0.7074 0.9296 0.1259
S13 0.7474 0.1045 0.7920
S14 0.7474 0.3955 0.2920
S15 0.9452 0.7120 0.9126
S16 0.9452 0.7880 0.4126

The 10 most intense peaks (2θ = 10–80°), by angle:
d/Å, I/Imax
4.136, 34
3.757, 23
3.564, 28
3.503, 32
3.456, 67
2.722, 44
2.702, 100
2.551, 61
2.378, 27
2.277, 28

The following is a simulated X-ray powder pattern of NdCd3. It was derived from a crystal structure in the Materials Project, relaxed with PBE, using λ = 1.5418 Å (Cu Kα).
Neutral-atom scattering factors, no anomalous dispersion.

Crystal structure
Cell: 5.1777 5.1777 5.1777 Å, 60.00 60.00 60.00°
Element x y z (fractional)
Nd1 0.0000 0.0000 0.0000
Cd1 0.2500 0.2500 0.2500
Cd2 0.5000 0.5000 0.5000
Cd3 0.7500 0.7500 0.7500

The 5 most intense peaks (2θ = 10–80°), by angle:
d/Å, I/Imax
4.228, 1
2.589, 100
1.831, 17
1.495, 35
1.294, 11